(1)
Simulated powder XRD pattern
Compound: PrHo3Te2
Radiation: λ = 1.5418 Å (Cu Kα)
Structure: a DFT-relaxed cell (GGA-PBE, Alexandria)
Lines closer than 0.1° are merged.

```
data_PrHo3Te2
_space_group_name_H-M_alt 'C 1 2/m 1'
_space_group_IT_number 12
_space_group_name_Hall '-C 2y'
_cell_length_a 16.560
_cell_length_b 4.150
_cell_length_c 11.375
_cell_angle_alpha 90.00
_cell_angle_beta 109.31
_cell_angle_gamma 90.00
loop_
_atom_site_label
_atom_site_type_symbol
_atom_site_fract_x
_atom_site_fract_y
_atom_site_fract_z
Pr1 Pr 0.120 0.000 0.043
Ho1 Ho 0.061 0.000 0.405
Ho2 Ho 0.123 0.500 0.665
Ho3 Ho 0.217 0.500 0.379
Te1 Te 0.017 0.500 0.175
Te2 Te 0.228 0.000 0.853
```

Peak list (12 most intense, 5° ≤ 2θ ≤ 70°, sorted by position)
- (1 1 2), 2θ = 28.90°, d = 3.090 Å, I 26
- (3 1 -2), 2θ = 29.07°, d = 3.072 Å, I 15
- (3 1 1), 2θ = 30.37°, d = 2.943 Å, I 100
- (6 0 -1), 2θ = 32.56°, d = 2.750 Å, I 15
- (6 0 -2), 2θ = 32.88°, d = 2.724 Å, I 29
- (3 1 -3), 2θ = 33.22°, d = 2.697 Å, I 68
- (0 0 4), 2θ = 33.39°, d = 2.684 Å, I 15
- (5 1 -2), 2θ = 35.42°, d = 2.534 Å, I 12
- (4 0 3), 2θ = 39.37°, d = 2.289 Å, I 12
- (0 2 0), 2θ = 43.62°, d = 2.075 Å, I 28
- (6 2 -2), 2θ = 55.69°, d = 1.651 Å, I 13
- (9 1 -4), 2θ = 57.28°, d = 1.608 Å, I 12

(2)
Simulated powder XRD pattern
Compound: Pr2Ho3ThTe6
Radiation: λ = 1.5418 Å (Cu Kα)
Structure: a DFT-relaxed cell (GGA-PBE, Alexandria)
Lines closer than 0.1° are merged.

```
data_Pr2Ho3ThTe6
_space_group_name_H-M_alt 'C 1 2/m 1'
_space_group_IT_number 12
_space_group_name_Hall '-C 2y'
_cell_length_a 19.601
_cell_length_b 4.333
_cell_length_c 9.041
_cell_angle_alpha 90.00
_cell_angle_beta 106.83
_cell_angle_gamma 90.00
loop_
_atom_site_label
_atom_site_type_symbol
_atom_site_fract_x
_atom_site_fract_y
_atom_site_fract_z
Pr1 Pr 0.161 0.000 0.321
Ho1 Ho 0.000 0.500 0.500
Ho2 Ho 0.168 0.000 0.831
Th1 Th 0.000 0.500 0.000
Te1 Te 0.007 0.000 0.743
Te2 Te 0.165 0.500 0.588
Te3 Te 0.170 0.500 0.069
```

Peak list (12 most intense, 5° ≤ 2θ ≤ 70°, sorted by position)
- (4 0 -2), 2θ = 23.60°, d = 3.771 Å, I 1
- (3 1 0), 2θ = 25.01°, d = 3.560 Å, I 3
- (1 1 -2), 2θ = 28.56°, d = 3.126 Å, I 100
- (7 1 -2), 2θ = 39.93°, d = 2.258 Å, I 39
- (0 2 0), 2θ = 41.71°, d = 2.165 Å, I 36
- (8 0 -4), 2θ = 48.27°, d = 1.885 Å, I 7
- (4 2 -2), 2θ = 48.48°, d = 1.878 Å, I 1
- (6 2 0), 2θ = 51.33°, d = 1.780 Å, I 19
- (2 2 -4), 2θ = 59.11°, d = 1.563 Å, I 12
- (8 2 -4), 2θ = 65.67°, d = 1.422 Å, I 17
- (1 3 -2), 2θ = 68.18°, d = 1.375 Å, I 6
- (4 2 4), 2θ = 68.22°, d = 1.375 Å, I 11

(3)
Simulated powder XRD pattern
Compound: Pr3Ho3TmTe8
Radiation: λ = 1.5418 Å (Cu Kα)
Structure: a DFT-relaxed cell (GGA-PBE, Alexandria)
Lines closer than 0.1° are merged.

```
data_Pr3Ho3TmTe8
_space_group_name_H-M_alt 'R -3 m'
_space_group_IT_number 166
_space_group_name_Hall '-R 3 2"'
_cell_length_a 8.7831
_cell_length_b 8.7831
_cell_length_c 21.8477
_cell_angle_alpha 90.00
_cell_angle_beta 90.00
_cell_angle_gamma 120.00
loop_
_atom_site_label
_atom_site_type_symbol
_atom_site_fract_x
_atom_site_fract_y
_atom_site_fract_z
Pr1 Pr 0.0000 0.5000 0.0000
Ho1 Ho 0.0000 0.5000 0.5000
Tm1 Tm 0.0000 0.0000 0.5000
Te1 Te 0.0000 0.0000 0.2449
Te2 Te 0.0061 0.5031 0.7536
```

Peak list (12 most intense, 5° ≤ 2θ ≤ 70°, sorted by position)
- (0 0 3), 2θ = 12.15°, d = 7.283 Å, I 5
- (1 0 1), 2θ = 12.32°, d = 7.184 Å, I 3
- (0 1 2), 2θ = 14.19°, d = 6.242 Å, I 2
- (0 2 1), 2θ = 23.70°, d = 3.754 Å, I 3
- (0 2 4), 2θ = 28.60°, d = 3.121 Å, I 100
- (2 0 8), 2θ = 40.67°, d = 2.218 Å, I 38
- (2 2 0), 2θ = 41.11°, d = 2.196 Å, I 38
- (0 0 12), 2θ = 50.10°, d = 1.821 Å, I 7
- (4 0 4), 2θ = 50.84°, d = 1.796 Å, I 20
- (0 4 8), 2θ = 59.21°, d = 1.561 Å, I 13
- (2 2 12), 2θ = 66.74°, d = 1.402 Å, I 17
- (2 4 4), 2θ = 67.36°, d = 1.390 Å, I 17

(4)
Simulated powder XRD pattern
Compound: Pr4Y3HoTe8
Radiation: λ = 1.5418 Å (Cu Kα)
Structure: a DFT-relaxed cell (GGA-PBE, Alexandria)
Lines closer than 0.1° are merged.

```
data_Pr4Y3HoTe8
_space_group_name_H-M_alt 'R -3 m'
_space_group_IT_number 166
_space_group_name_Hall '-R 3 2"'
_cell_length_a 8.7865
_cell_length_b 8.7865
_cell_length_c 22.3101
_cell_angle_alpha 90.00
_cell_angle_beta 90.00
_cell_angle_gamma 120.00
loop_
_atom_site_label
_atom_site_type_symbol
_atom_site_fract_x
_atom_site_fract_y
_atom_site_fract_z
Pr1 Pr 0.0000 0.0000 0.0000
Pr2 Pr 0.0000 0.5000 0.0000
Y1 Y 0.0000 0.5000 0.5000
Ho1 Ho 0.0000 0.0000 0.5000
Te1 Te 0.0000 0.0000 0.2452
Te2 Te 0.0012 0.5006 0.2449
```

Peak list (12 most intense, 5° ≤ 2θ ≤ 70°, sorted by position)
- (1 0 1), 2θ = 12.29°, d = 7.202 Å, I 1
- (0 2 1), 2θ = 23.72°, d = 3.751 Å, I 1
- (0 2 4), 2θ = 28.40°, d = 3.143 Å, I 100
- (2 0 5), 2θ = 30.89°, d = 2.895 Å, I 2
- (2 0 8), 2θ = 40.09°, d = 2.249 Å, I 38
- (2 2 0), 2θ = 41.09°, d = 2.197 Å, I 37
- (0 0 12), 2θ = 49.00°, d = 1.859 Å, I 7
- (4 0 4), 2θ = 50.70°, d = 1.800 Å, I 20
- (2 2 9), 2θ = 55.93°, d = 1.644 Å, I 1
- (0 4 8), 2θ = 58.75°, d = 1.572 Å, I 12
- (2 2 12), 2θ = 65.81°, d = 1.419 Å, I 17
- (2 4 4), 2θ = 67.23°, d = 1.392 Å, I 17

(5)
Simulated powder XRD pattern
Compound: Pr2HoZnTe5
Radiation: λ = 1.5418 Å (Cu Kα)
Structure: a DFT-relaxed cell (GGA-PBE, Alexandria)
Lines closer than 0.1° are merged.

```
data_Pr2HoZnTe5
_space_group_name_H-M_alt 'C m c 21'
_space_group_IT_number 36
_space_group_name_Hall 'C 2c -2'
_cell_length_a 4.313
_cell_length_b 19.355
_cell_length_c 13.243
_cell_angle_alpha 90.00
_cell_angle_beta 90.00
_cell_angle_gamma 90.00
loop_
_atom_site_label
_atom_site_type_symbol
_atom_site_fract_x
_atom_site_fract_y
_atom_site_fract_z
Pr1 Pr 0.000 0.114 0.000
Pr2 Pr 0.000 0.129 0.624
Ho1 Ho 0.000 0.199 0.329
Zn1 Zn 0.000 0.435 0.774
Te1 Te 0.000 0.046 0.387
Te2 Te 0.000 0.285 0.990
Te3 Te 0.000 0.312 0.665
Te4 Te 0.000 0.357 0.317
Te5 Te 0.000 0.500 0.102
```

Peak list (12 most intense, 5° ≤ 2θ ≤ 70°, sorted by position)
- (1 1 2), 2θ = 25.07°, d = 3.553 Å, I 17
- (1 3 2), 2θ = 28.30°, d = 3.153 Å, I 9
- (0 6 1), 2θ = 28.48°, d = 3.134 Å, I 50
- (1 1 3), 2θ = 29.32°, d = 3.047 Å, I 100
- (1 5 0), 2θ = 31.04°, d = 2.881 Å, I 11
- (1 5 2), 2θ = 33.93°, d = 2.642 Å, I 55
- (1 5 3), 2θ = 37.27°, d = 2.413 Å, I 15
- (1 7 2), 2θ = 41.10°, d = 2.196 Å, I 10
- (2 0 0), 2θ = 41.92°, d = 2.155 Å, I 39
- (0 6 5), 2θ = 44.25°, d = 2.047 Å, I 10
- (1 7 4), 2θ = 47.76°, d = 1.904 Å, I 12
- (2 6 1), 2θ = 51.43°, d = 1.777 Å, I 19

(6)
Simulated powder XRD pattern
Compound: Pr4Ho5Th2
Radiation: λ = 1.5418 Å (Cu Kα)
Structure: a DFT-relaxed cell (GGA-PBE, Alexandria)
Lines closer than 0.1° are merged.

```
data_Pr4Ho5Th2
_space_group_name_H-M_alt 'I m m m'
_space_group_IT_number 71
_space_group_name_Hall '-I 2 2'
_cell_length_a 3.517
_cell_length_b 11.654
_cell_length_c 18.413
_cell_angle_alpha 90.00
_cell_angle_beta 90.00
_cell_angle_gamma 90.00
loop_
_atom_site_label
_atom_site_type_symbol
_atom_site_fract_x
_atom_site_fract_y
_atom_site_fract_z
Pr1 Pr 0.000 0.000 0.092
Pr2 Pr 0.000 0.261 0.500
Ho1 Ho 0.000 0.292 0.319
Ho2 Ho 0.000 0.500 0.000
Th1 Th 0.000 0.000 0.299
```

Peak list (12 most intense, 5° ≤ 2θ ≤ 70°, sorted by position)
- (0 1 5), 2θ = 25.36°, d = 3.511 Å, I 61
- (1 0 3), 2θ = 29.27°, d = 3.051 Å, I 54
- (1 2 1), 2θ = 30.07°, d = 2.972 Å, I 93
- (0 4 0), 2θ = 30.69°, d = 2.914 Å, I 80
- (0 2 6), 2θ = 32.99°, d = 2.716 Å, I 38
- (0 3 5), 2θ = 33.53°, d = 2.673 Å, I 100
- (1 3 0), 2θ = 34.40°, d = 2.607 Å, I 63
- (1 0 5), 2θ = 35.29°, d = 2.543 Å, I 95
- (1 3 2), 2θ = 35.80°, d = 2.509 Å, I 41
- (1 4 5), 2θ = 47.45°, d = 1.916 Å, I 52
- (2 4 0), 2θ = 61.63°, d = 1.505 Å, I 51
- (2 3 5), 2θ = 63.31°, d = 1.469 Å, I 33

(7)
Simulated powder XRD pattern
Compound: Pr2Ho5Th
Radiation: λ = 1.5418 Å (Cu Kα)
Structure: a DFT-relaxed cell (GGA-PBE, Alexandria)
Lines closer than 0.1° are merged.

```
data_Pr2Ho5Th
_space_group_name_H-M_alt 'P -1'
_space_group_IT_number 2
_space_group_name_Hall '-P 1'
_cell_length_a 6.810
_cell_length_b 7.237
_cell_length_c 11.217
_cell_angle_alpha 99.71
_cell_angle_beta 90.18
_cell_angle_gamma 105.44
loop_
_atom_site_label
_atom_site_type_symbol
_atom_site_fract_x
_atom_site_fract_y
_atom_site_fract_z
Pr1 Pr 0.104 0.245 0.351
Pr2 Pr 0.351 0.116 0.603
Ho1 Ho 0.108 0.736 0.349
Ho2 Ho 0.144 0.138 0.900
Ho3 Ho 0.357 0.614 0.609
Ho4 Ho 0.391 0.508 0.140
Ho5 Ho 0.401 0.011 0.143
Th1 Th 0.146 0.632 0.897
```

Peak list (12 most intense, 5° ≤ 2θ ≤ 70°, sorted by position)
- (1 0 3), 2θ = 28.39°, d = 3.144 Å, I 23
- (0 2 1), 2θ = 28.55°, d = 3.126 Å, I 12
- (2 0 -2), 2θ = 31.02°, d = 2.883 Å, I 37
- (0 2 -3), 2θ = 32.44°, d = 2.760 Å, I 100
- (-1 2 2), 2θ = 32.58°, d = 2.748 Å, I 49
- (2 2 -1), 2θ = 42.60°, d = 2.122 Å, I 12
- (2 -2 5), 2θ = 50.17°, d = 1.818 Å, I 10
- (4 0 0), 2θ = 56.10°, d = 1.639 Å, I 16
- (-3 2 4), 2θ = 56.19°, d = 1.637 Å, I 10
- (1 4 -3), 2θ = 60.28°, d = 1.535 Å, I 11
- (3 2 2), 2θ = 60.47°, d = 1.531 Å, I 17
- (1 0 7), 2θ = 61.14°, d = 1.516 Å, I 12

(8)
Simulated powder XRD pattern
Compound: Pr12Ho5Th
Radiation: λ = 1.5418 Å (Cu Kα)
Structure: a DFT-relaxed cell (GGA-PBE, Alexandria)
Lines closer than 0.1° are merged.

```
data_Pr12Ho5Th
_space_group_name_H-M_alt 'C m m m'
_space_group_IT_number 65
_space_group_name_Hall '-C 2 2'
_cell_length_a 15.496
_cell_length_b 15.539
_cell_length_c 5.178
_cell_angle_alpha 90.00
_cell_angle_beta 90.00
_cell_angle_gamma 90.00
loop_
_atom_site_label
_atom_site_type_symbol
_atom_site_fract_x
_atom_site_fract_y
_atom_site_fract_z
Pr1 Pr 0.000 0.163 0.000
Pr2 Pr 0.000 0.337 0.500
Pr3 Pr 0.166 0.164 0.500
Pr4 Pr 0.166 0.336 0.000
Ho1 Ho 0.000 0.000 0.500
Ho2 Ho 0.163 0.500 0.500
Ho3 Ho 0.167 0.000 0.000
Th1 Th 0.000 0.500 0.000
```

Peak list (11 most intense, 5° ≤ 2θ ≤ 70°, sorted by position)
- (1 1 0), 2θ = 8.06°, d = 10.973 Å, I 1
- (0 2 0), 2θ = 11.39°, d = 7.768 Å, I 2
- (3 1 1), 2θ = 25.01°, d = 3.560 Å, I 1
- (3 3 1), 2θ = 29.91°, d = 2.987 Å, I 100
- (0 0 2), 2θ = 34.67°, d = 2.587 Å, I 51
- (0 2 2), 2θ = 36.62°, d = 2.454 Å, I 1
- (3 5 1), 2θ = 38.00°, d = 2.368 Å, I 1
- (6 0 2), 2θ = 49.85°, d = 1.829 Å, I 36
- (3 3 3), 2θ = 59.19°, d = 1.561 Å, I 29
- (9 3 1), 2θ = 59.31°, d = 1.558 Å, I 14
- (6 6 2), 2θ = 62.14°, d = 1.494 Å, I 12

(9)
Simulated powder XRD pattern
Compound: Pr4Ho5Th2
Radiation: λ = 1.5418 Å (Cu Kα)
Structure: a DFT-relaxed cell (GGA-PBE, Alexandria)
Lines closer than 0.1° are merged.

```
data_Pr4Ho5Th2
_space_group_name_H-M_alt 'C 1 2/m 1'
_space_group_IT_number 12
_space_group_name_Hall '-C 2y'
_cell_length_a 24.280
_cell_length_b 3.456
_cell_length_c 8.891
_cell_angle_alpha 90.00
_cell_angle_beta 94.06
_cell_angle_gamma 90.00
loop_
_atom_site_label
_atom_site_type_symbol
_atom_site_fract_x
_atom_site_fract_y
_atom_site_fract_z
Pr1 Pr 0.088 0.000 0.225
Pr2 Pr 0.219 0.500 0.330
Ho1 Ho 0.000 0.500 0.500
Ho2 Ho 0.135 0.000 0.594
Ho3 Ho 0.187 0.000 0.970
Th1 Th 0.045 0.000 0.850
```

Peak list (12 most intense, 5° ≤ 2θ ≤ 70°, sorted by position)
- (1 1 0), 2θ = 26.05°, d = 3.421 Å, I 29
- (1 1 1), 2θ = 28.05°, d = 3.181 Å, I 29
- (2 0 -3), 2θ = 30.57°, d = 2.924 Å, I 100
- (6 0 2), 2θ = 31.00°, d = 2.885 Å, I 48
- (5 1 1), 2θ = 33.82°, d = 2.650 Å, I 19
- (3 1 -2), 2θ = 34.26°, d = 2.617 Å, I 20
- (7 1 -1), 2θ = 37.67°, d = 2.388 Å, I 16
- (5 1 2), 2θ = 38.60°, d = 2.333 Å, I 13
- (3 1 4), 2θ = 50.86°, d = 1.795 Å, I 11
- (0 2 0), 2θ = 53.00°, d = 1.728 Å, I 11
- (2 2 -3), 2θ = 62.43°, d = 1.488 Å, I 26
- (6 2 2), 2θ = 62.67°, d = 1.482 Å, I 13

(10)
Simulated powder XRD pattern
Compound: PrHo5Th4
Radiation: λ = 1.5418 Å (Cu Kα)
Structure: a DFT-relaxed cell (GGA-PBE, Alexandria)
Lines closer than 0.1° are merged.

```
data_PrHo5Th4
_space_group_name_H-M_alt 'C 1 2 1'
_space_group_IT_number 5
_space_group_name_Hall 'C 2y'
_cell_length_a 11.877
_cell_length_b 6.261
_cell_length_c 10.176
_cell_angle_alpha 90.00
_cell_angle_beta 120.22
_cell_angle_gamma 90.00
loop_
_atom_site_label
_atom_site_type_symbol
_atom_site_fract_x
_atom_site_fract_y
_atom_site_fract_z
Pr1 Pr 0.000 0.000 0.000
Ho1 Ho 0.000 0.538 0.000
Ho2 Ho 0.057 0.770 0.383
Ho3 Ho 0.167 0.262 0.679
Th1 Th 0.139 0.273 0.322
Th2 Th 0.233 0.766 0.918
```

Peak list (12 most intense, 5° ≤ 2θ ≤ 70°, sorted by position)
- (0 2 0), 2θ = 28.51°, d = 3.130 Å, I 45
- (1 1 2), 2θ = 29.50°, d = 3.028 Å, I 35
- (3 1 0), 2θ = 29.76°, d = 3.002 Å, I 30
- (4 0 -2), 2θ = 30.27°, d = 2.952 Å, I 21
- (0 0 3), 2θ = 30.50°, d = 2.931 Å, I 39
- (4 0 -1), 2θ = 31.01°, d = 2.884 Å, I 40
- (3 1 -3), 2θ = 31.89°, d = 2.806 Å, I 100
- (2 2 0), 2θ = 33.53°, d = 2.672 Å, I 20
- (2 2 -2), 2θ = 34.40°, d = 2.607 Å, I 21
- (2 2 1), 2θ = 37.66°, d = 2.389 Å, I 27
- (3 3 -3), 2θ = 52.67°, d = 1.738 Å, I 21
- (0 2 5), 2θ = 60.39°, d = 1.533 Å, I 18

(11)
Simulated powder XRD pattern
Compound: Pr2Ho4Th5
Radiation: λ = 1.5418 Å (Cu Kα)
Structure: a DFT-relaxed cell (GGA-PBE, Alexandria)
Lines closer than 0.1° are merged.

```
data_Pr2Ho4Th5
_space_group_name_H-M_alt 'P 1 2/m 1'
_space_group_IT_number 10
_space_group_name_Hall '-P 2y'
_cell_length_a 8.833
_cell_length_b 3.479
_cell_length_c 11.749
_cell_angle_alpha 90.00
_cell_angle_beta 94.32
_cell_angle_gamma 90.00
loop_
_atom_site_label
_atom_site_type_symbol
_atom_site_fract_x
_atom_site_fract_y
_atom_site_fract_z
Pr1 Pr 0.054 0.000 0.136
Ho1 Ho 0.160 0.500 0.406
Ho2 Ho 0.308 0.500 0.944
Th1 Th 0.205 0.000 0.674
Th2 Th 0.422 0.000 0.214
Th3 Th 0.500 0.000 0.500
```

Peak list (12 most intense, 5° ≤ 2θ ≤ 70°, sorted by position)
- (0 1 0), 2θ = 25.61°, d = 3.478 Å, I 29
- (0 1 2), 2θ = 29.87°, d = 2.991 Å, I 41
- (3 0 -1), 2θ = 30.83°, d = 2.900 Å, I 100
- (1 1 -2), 2θ = 31.21°, d = 2.866 Å, I 54
- (1 0 -4), 2θ = 31.46°, d = 2.844 Å, I 99
- (2 0 3), 2θ = 31.75°, d = 2.818 Å, I 95
- (1 1 2), 2θ = 31.97°, d = 2.800 Å, I 42
- (2 1 1), 2θ = 34.07°, d = 2.632 Å, I 36
- (0 2 0), 2θ = 52.61°, d = 1.740 Å, I 29
- (1 0 7), 2θ = 56.72°, d = 1.623 Å, I 29
- (3 2 -1), 2θ = 62.22°, d = 1.492 Å, I 36
- (1 2 -4), 2θ = 62.60°, d = 1.484 Å, I 28

(12)
Simulated powder XRD pattern
Compound: Pr6Ho2Th
Radiation: λ = 1.5418 Å (Cu Kα)
Structure: a DFT-relaxed cell (GGA-PBE, Alexandria)
Lines closer than 0.1° are merged.

```
data_Pr6Ho2Th
_space_group_name_H-M_alt 'P -6 m 2'
_space_group_IT_number 187
_space_group_name_Hall 'P -6 2'
_cell_length_a 3.6483
_cell_length_b 3.6483
_cell_length_c 27.3770
_cell_angle_alpha 90.00
_cell_angle_beta 90.00
_cell_angle_gamma 120.00
loop_
_atom_site_label
_atom_site_type_symbol
_atom_site_fract_x
_atom_site_fract_y
_atom_site_fract_z
Pr1 Pr 0.0000 0.0000 0.0666
Pr2 Pr 0.0000 0.0000 0.2772
Pr3 Pr 0.3333 0.6667 0.3916
Ho1 Ho 0.3333 0.6667 0.1702
Th1 Th 0.0000 0.0000 0.5000
```

Peak list (12 most intense, 5° ≤ 2θ ≤ 70°, sorted by position)
- (0 0 3), 2θ = 9.69°, d = 9.126 Å, I 11
- (1 0 0), 2θ = 28.25°, d = 3.160 Å, I 45
- (1 0 2), 2θ = 29.00°, d = 3.079 Å, I 8
- (0 0 9), 2θ = 29.36°, d = 3.042 Å, I 47
- (1 0 4), 2θ = 31.18°, d = 2.869 Å, I 67
- (1 0 5), 2θ = 32.72°, d = 2.737 Å, I 100
- (1 0 9), 2θ = 41.20°, d = 2.191 Å, I 30
- (1 1 0), 2θ = 50.00°, d = 1.824 Å, I 36
- (1 0 14), 2θ = 55.24°, d = 1.663 Å, I 30
- (1 1 9), 2θ = 59.05°, d = 1.564 Å, I 40
- (2 0 4), 2θ = 60.11°, d = 1.539 Å, I 10
- (2 0 5), 2θ = 61.05°, d = 1.518 Å, I 18